Entry 1:
Starting from a cell relaxed with PBE, the powder diffraction line list of NdP2Rh2 was computed for copper Kα.
Peak positions follow from Bragg's law for the DFT cell and can differ from measured ones.

Atomic structure:
Lattice parameters (Å, degrees): 4.175 4.175 9.614 90.00 90.00 90.00
Space group P4/nmm (No. 129, origin choice 2)
Inequivalent atoms, fractional coordinates:
Nd 0.250 0.250 0.242 (multiplicity 2)
P 0.250 0.250 0.638 (multiplicity 2)
P 0.250 0.750 0.000 (multiplicity 2)
Rh 0.250 0.250 0.887 (multiplicity 2)
Rh 0.250 0.750 0.500 (multiplicity 2)

Principal peaks in the range 10° ≤ 2θ ≤ 80°, sorted by position:
30.27°, intensity 223; 31.71°, intensity 384; 35.31°, intensity 878; 35.69°, intensity 1000; 43.34°, intensity 689; 52.37°, intensity 275; 57.09°, intensity 434; 62.98°, intensity 247; 66.38°, intensity 208; 74.53°, intensity 227

---

Entry 2:
Starting from a cell relaxed with PBE, the powder diffraction line list of NdTlP2S7 was computed for copper Kα.
Peak positions follow from Bragg's law for the DFT cell and can differ from measured ones.

Atomic structure:
Lattice parameters (Å, degrees): 9.892 12.526 9.098 90.00 90.49 90.00
Space group P2_1/c (No. 14)
Inequivalent atoms, fractional coordinates:
Nd 0.144 0.143 0.393 (multiplicity 4)
Tl 0.396 0.689 0.872 (multiplicity 4)
P 0.186 0.537 0.197 (multiplicity 4)
P 0.276 0.101 0.023 (multiplicity 4)
S 0.020 0.058 0.678 (multiplicity 4)
S 0.092 0.167 0.072 (multiplicity 4)
S 0.148 0.692 0.147 (multiplicity 4)
S 0.251 0.553 0.422 (multiplicity 4)
S 0.336 0.023 0.570 (multiplicity 4)
S 0.368 0.056 0.211 (multiplicity 4)
S 0.372 0.206 0.890 (multiplicity 4)

Principal peaks in the range 10° ≤ 2θ ≤ 80°, sorted by position:
12.02°, intensity 434; 19.31°, intensity 1000; 19.45°, intensity 382; 21.57°, intensity 279; 22.59°, intensity 666; 23.44°, intensity 259; 25.00°, intensity 631; 25.12°, intensity 416; 30.17°, intensity 343; 31.56°, intensity 593

---

Entry 3:
Starting from a cell relaxed with PBE, the powder diffraction line list of Nd3Pa was computed for copper Kα.
Peak positions follow from Bragg's law for the DFT cell and can differ from measured ones.

Atomic structure:
Lattice parameters (Å, degrees): 7.1290 7.1290 5.8565 90.00 90.00 120.00
Space group P6_3/mmc (No. 194)
Inequivalent atoms, fractional coordinates:
Nd 0.1696 0.3392 0.2500 (multiplicity 6)
Pa 0.3333 0.6667 0.7500 (multiplicity 2)

Principal peaks in the range 10° ≤ 2θ ≤ 80°, sorted by position:
28.92°, intensity 231; 30.53°, intensity 269; 32.80°, intensity 1000; 42.55°, intensity 164; 51.26°, intensity 191; 55.71°, intensity 224; 60.85°, intensity 229; 62.20°, intensity 160; 68.75°, intensity 40; 79.10°, intensity 81